For In10NiS10, a cell relaxed with GGA-PBE gives the calculated XRD peak list in this record (λ = 1.5418 Å (Cu Kα)).
Intensities are scaled so that the largest is 100.

Main lines, most intense first (2θ = 10–90°):
| h k l | 2theta | intensity |
| --- | --- | --- |
| 1 2 2 | 29.27 | 100 |
| 1 5 2 | 45.44 | 57 |
| 3 1 0 | 24.51 | 54 |
| 2 3 0 | 27.08 | 47 |
| 2 1 2 | 29.61 | 42 |
| 0 2 2 | 28.19 | 38 |
| 3 3 2 | 40.64 | 37 |
| 5 1 2 | 47.30 | 32 |
| 1 1 0 | 10.65 | 31 |
| 2 2 0 | 21.40 | 28 |
| 0 0 4 | 49.03 | 27 |
| 5 2 2 | 49.18 | 21 |

Structural model:
```
In10NiS10
1.0
11.4256 0.0000 0.0000
0.0000 12.0889 0.0000
0.0000 0.0000 7.4322
In Ni S
20 2 20
Direct
0.0000 0.0000 0.2397
0.0000 0.0000 0.7603
0.1202 0.4107 0.2554
0.1202 0.4107 0.7446
0.1477 0.7209 0.0000
0.1592 0.6493 0.5000
0.3408 0.1493 0.5000
0.3523 0.2209 0.0000
0.3798 0.9107 0.2554
0.3798 0.9107 0.7446
0.5000 0.5000 0.2397
0.5000 0.5000 0.7603
0.6202 0.0893 0.2554
0.6202 0.0893 0.7446
0.6477 0.7791 0.0000
0.6592 0.8507 0.5000
0.8408 0.3507 0.5000
0.8523 0.2791 0.0000
0.8798 0.5893 0.2554
0.8798 0.5893 0.7446
0.0000 0.5000 0.5000
0.5000 0.0000 0.5000
0.0722 0.2737 0.0000
0.1135 0.1094 0.5000
0.1701 0.8236 0.2831
0.1701 0.8236 0.7169
0.2212 0.5319 0.0000
0.2788 0.0319 0.0000
0.3299 0.3236 0.2831
0.3299 0.3236 0.7169
0.3865 0.6094 0.5000
0.4278 0.7737 0.0000
0.5722 0.2263 0.0000
0.6135 0.3906 0.5000
0.6701 0.6764 0.2831
0.6701 0.6764 0.7169
0.7212 0.9681 0.0000
0.7788 0.4681 0.0000
0.8299 0.1764 0.2831
0.8299 0.1764 0.7169
0.8865 0.8906 0.5000
0.9278 0.7263 0.0000
```